# 1
The following is a theoretical X-ray powder pattern of Sb3C5. It was derived from a PBE-relaxed structure, using Cu Kα (weighted mean of Kα1 and Kα2).

Largest 10 diffraction maxima, by intensity, 15 to 90 degrees two-theta:
Position (°2θ)  I (rel.)
28.39  100
27.53  62
35.33  62
32.82  56
30.98  51
36.47  33
45.75  28
56.80  24
45.00  22
64.97  19

Cell lengths 5.7798, 5.4582, 8.4435 Å; angles 90.00, 107.38, 90.00 degrees
Element x y z (fractional)
Sb1 0.1165 0.2500 0.2459
Sb2 0.2839 0.7500 0.5052
Sb3 0.3002 0.2500 0.7518
Sb4 0.6998 0.7500 0.2482
Sb5 0.7161 0.2500 0.4948
Sb6 0.8835 0.7500 0.7541
C1 0.0718 0.7500 0.2460
C2 0.3491 0.2500 0.5117
C3 0.4276 0.2500 0.1407
C4 0.4946 0.0278 0.0780
C5 0.4946 0.4722 0.0780
C6 0.5054 0.5278 0.9220
C7 0.5054 0.9722 0.9220
C8 0.5724 0.7500 0.8593
C9 0.6509 0.7500 0.4883
C10 0.9282 0.2500 0.7540



# 2
The following is a theoretical X-ray powder pattern of SbC. It was derived from a PBE-relaxed structure, using Cu Kα (weighted mean of Kα1 and Kα2).

Largest 10 diffraction maxima, by intensity, 15 to 90 degrees two-theta:
Position (°2θ)  I (rel.)
31.39  100
32.47  85
26.29  70
29.10  58
44.22  48
28.74  46
23.33  42
40.19  32
51.67  32
54.45  29

Cell lengths 4.2033, 4.2033, 6.1672 Å; angles 95.09, 95.09, 48.59 degrees
Element x y z (fractional)
Sb1 0.1768 0.1768 0.2714
Sb2 0.8232 0.8232 0.7286
C1 0.4104 0.4104 0.5278
C2 0.5896 0.5896 0.4722



# 3
The following is a theoretical X-ray powder pattern of Sb5C. It was derived from a PBE-relaxed structure, using Cu Kα (weighted mean of Kα1 and Kα2).

Largest 10 diffraction maxima, by intensity, 15 to 90 degrees two-theta:
Position (°2θ)  I (rel.)
36.03  100
24.54  51
37.89  44
29.67  41
46.51  26
28.41  24
43.20  22
65.35  19
57.48  17
67.34  16

Cell lengths 7.2540, 7.2540, 3.4308 Å; angles 90.00, 90.00, 120.00 degrees
Element x y z (fractional)
Sb1 0.0000 0.7453 0.0000
Sb2 0.2547 0.2547 0.0000
Sb3 0.3333 0.6667 0.5000
Sb4 0.6667 0.3333 0.5000
Sb5 0.7453 0.0000 0.0000
C1 0.0000 0.0000 0.5000



# 4
The following is a theoretical X-ray powder pattern of Sc2Ti2Sb2C. It was derived from a PBE-relaxed structure, using Cu Kα (weighted mean of Kα1 and Kα2).

Largest 10 diffraction maxima, by intensity, 15 to 90 degrees two-theta:
Position (°2θ)  I (rel.)
38.80  100
42.86  52
29.95  46
32.36  35
27.85  34
21.91  26
75.80  26
36.51  24
57.54  23
24.11  20

Cell lengths 7.9638, 7.9638, 7.9638 Å; angles 149.27, 149.27, 44.01 degrees
Element x y z (fractional)
Sc1 0.1572 0.1572 0.0000
Sc2 0.8428 0.8428 0.0000
Ti1 0.0000 0.5000 0.5000
Ti2 0.5000 0.0000 0.5000
Sb1 0.3588 0.3588 0.0000
Sb2 0.6412 0.6412 0.0000
C1 0.0000 0.0000 0.0000



# 5
The following is a theoretical X-ray powder pattern of Th6SbC3Se2. It was derived from a PBE-relaxed structure, using Cu Kα (weighted mean of Kα1 and Kα2).

Largest 10 diffraction maxima, by intensity, 15 to 90 degrees two-theta:
Position (°2θ)  I (rel.)
31.25  100
27.59  57
46.36  40
33.76  32
61.42  25
43.17  24
56.97  18
37.99  16
76.39  16
62.95  15

Cell lengths 9.2897, 9.2897, 8.4256 Å; angles 108.55, 108.55, 24.34 degrees
Element x y z (fractional)
Th1 0.0115 0.0115 0.2159
Th2 0.3205 0.3205 0.4457
Th3 0.3442 0.3442 0.8907
Th4 0.6558 0.6558 0.1093
Th5 0.6795 0.6795 0.5543
Th6 0.9885 0.9885 0.7841
Sb1 0.5000 0.5000 0.5000
C1 0.1667 0.1667 0.3263
C2 0.5000 0.5000 0.0000
C3 0.8333 0.8333 0.6737
Se1 0.1679 0.1679 0.8333
Se2 0.8321 0.8321 0.1667



# 6
The following is a theoretical X-ray powder pattern of Sm4SbC. It was derived from a PBE-relaxed structure, using Cu Kα (weighted mean of Kα1 and Kα2).

Largest 10 diffraction maxima, by intensity, 15 to 90 degrees two-theta:
Position (°2θ)  I (rel.)
29.05  100
30.75  88
25.92  71
29.58  70
30.95  64
35.49  46
30.43  42
40.39  40
36.88  38
36.10  33

Cell lengths 6.1485, 9.9513, 6.1630 Å; angles 90.00, 101.15, 90.00 degrees
Element x y z (fractional)
Sm1 0.1329 0.2500 0.2318
Sm2 0.2609 0.0500 0.7591
Sm3 0.2609 0.4500 0.7591
Sm4 0.2671 0.7500 0.3690
Sm5 0.7329 0.2500 0.6310
Sm6 0.7391 0.5500 0.2409
Sm7 0.7391 0.9500 0.2409
Sm8 0.8671 0.7500 0.7682
Sb1 0.4015 0.7500 0.9034
Sb2 0.5985 0.2500 0.0966
C1 0.1064 0.2500 0.6042
C2 0.8936 0.7500 0.3958



# 7
The following is a theoretical X-ray powder pattern of Tm4SnSbC. It was derived from a PBE-relaxed structure, using Cu Kα (weighted mean of Kα1 and Kα2).

Largest 10 diffraction maxima, by intensity, 15 to 90 degrees two-theta:
Position (°2θ)  I (rel.)
35.40  100
29.07  71
38.07  58
52.36  37
34.56  32
67.07  32
54.94  20
66.22  19
66.55  18
63.35  16

Cell lengths 8.4713, 8.4713, 8.4713 Å; angles 147.60, 147.60, 46.48 degrees
Element x y z (fractional)
Tm1 0.0000 0.0000 0.0000
Tm2 0.1558 0.6558 0.5000
Tm3 0.3137 0.3137 0.0000
Tm4 0.6558 0.1558 0.5000
Sn1 0.5147 0.5147 0.0000
Sb1 0.7997 0.7997 0.0000
C1 0.1599 0.1599 0.0000



# 8
The following is a theoretical X-ray powder pattern of Tb8SbC4. It was derived from a PBE-relaxed structure, using Cu Kα (weighted mean of Kα1 and Kα2).

Largest 10 diffraction maxima, by intensity, 15 to 90 degrees two-theta:
Position (°2θ)  I (rel.)
31.85  100
33.41  92
31.03  72
32.57  47
34.47  43
51.82  39
28.80  32
60.01  22
61.41  22
49.99  22

Cell lengths 8.8850, 8.8850, 11.8741 Å; angles 129.55, 129.55, 23.70 degrees
Element x y z (fractional)
Tb1 0.0418 0.0418 0.2402
Tb2 0.2968 0.2968 0.4315
Tb3 0.3349 0.3349 0.1619
Tb4 0.3702 0.3702 0.9134
Tb5 0.6298 0.6298 0.0866
Tb6 0.6651 0.6651 0.8381
Tb7 0.7032 0.7032 0.5685
Tb8 0.9582 0.9582 0.7598
Sb1 0.0000 0.0000 0.5000
C1 0.1485 0.1485 0.9593
C2 0.3328 0.3328 0.6689
C3 0.6672 0.6672 0.3311
C4 0.8515 0.8515 0.0407



# 9
The following is a theoretical X-ray powder pattern of Tb5Sb2C. It was derived from a PBE-relaxed structure, using Cu Kα (weighted mean of Kα1 and Kα2).

Largest 10 diffraction maxima, by intensity, 15 to 90 degrees two-theta:
Position (°2θ)  I (rel.)
31.20  100
34.88  77
31.73  57
35.56  26
29.44  23
42.71  19
56.18  19
54.17  19
23.62  19
58.57  17

Cell lengths 5.8449, 5.8449, 15.0643 Å; angles 90.00, 90.00, 122.30 degrees
Element x y z (fractional)
Tb1 0.0925 0.9075 0.6331
Tb2 0.0925 0.9075 0.8669
Tb3 0.2556 0.7444 0.2500
Tb4 0.4022 0.5978 0.6331
Tb5 0.4022 0.5978 0.8669
Tb6 0.5978 0.4022 0.1331
Tb7 0.5978 0.4022 0.3669
Tb8 0.7444 0.2556 0.7500
Tb9 0.9075 0.0925 0.1331
Tb10 0.9075 0.0925 0.3669
Sb1 0.2242 0.7758 0.0570
Sb2 0.2242 0.7758 0.4430
Sb3 0.7758 0.2242 0.5570
Sb4 0.7758 0.2242 0.9430
C1 0.2519 0.7481 0.7500
C2 0.7481 0.2519 0.2500



# 10
The following is a theoretical X-ray powder pattern of Tb3YSb2C. It was derived from a PBE-relaxed structure, using Cu Kα (weighted mean of Kα1 and Kα2).

Largest 10 diffraction maxima, by intensity, 15 to 90 degrees two-theta:
Position (°2θ)  I (rel.)
34.80  100
28.59  64
33.95  35
37.35  30
37.53  30
26.24  24
51.36  21
53.99  21
64.96  19
51.50  18

Cell lengths 8.6181, 8.6181, 8.6181 Å; angles 147.71, 147.56, 46.42 degrees
Element x y z (fractional)
Tb1 0.0000 0.0000 0.0000
Tb2 0.3421 0.8421 0.5000
Tb3 0.6579 0.1579 0.5000
Y1 0.5000 0.5000 0.0000
Sb1 0.1418 0.6418 0.5000
Sb2 0.8582 0.3582 0.5000
C1 0.5000 0.0000 0.5000



# 11
The following is a theoretical X-ray powder pattern of Th6SbC4. It was derived from a PBE-relaxed structure, using Cu Kα (weighted mean of Kα1 and Kα2).

Largest 10 diffraction maxima, by intensity, 15 to 90 degrees two-theta:
Position (°2θ)  I (rel.)
29.86  100
30.21  75
32.53  69
31.58  44
27.39  36
29.64  31
56.54  27
46.59  26
56.15  26
48.53  23

Cell lengths 6.6141, 6.6141, 20.0853 Å; angles 90.00, 90.00, 145.71 degrees
Element x y z (fractional)
Th1 0.0000 0.0000 0.0000
Th2 0.0000 0.0000 0.5000
Th3 0.1359 0.8641 0.7500
Th4 0.2756 0.7244 0.0777
Th5 0.2756 0.7244 0.4223
Th6 0.4583 0.5417 0.6457
Th7 0.4583 0.5417 0.8543
Th8 0.5417 0.4583 0.1457
Th9 0.5417 0.4583 0.3543
Th10 0.7244 0.2756 0.5777
Th11 0.7244 0.2756 0.9223
Th12 0.8641 0.1359 0.2500
Sb1 0.1656 0.8344 0.2500
Sb2 0.8344 0.1656 0.7500
C1 0.0844 0.9156 0.6250
C2 0.0844 0.9156 0.8750
C3 0.3574 0.6426 0.5381
C4 0.3574 0.6426 0.9619
C5 0.6426 0.3574 0.0381
C6 0.6426 0.3574 0.4619
C7 0.9156 0.0844 0.1250
C8 0.9156 0.0844 0.3750



# 12
The following is a theoretical X-ray powder pattern of Th3Sb3C. It was derived from a PBE-relaxed structure, using Cu Kα (weighted mean of Kα1 and Kα2).

Largest 10 diffraction maxima, by intensity, 15 to 90 degrees two-theta:
Position (°2θ)  I (rel.)
27.71  100
31.40  31
33.00  27
34.34  24
34.78  23
40.51  15
43.92  11
46.54  9
15.55  9
58.11  8

Cell lengths 7.4820, 7.4820, 8.0598 Å; angles 96.97, 96.97, 111.48 degrees
Element x y z (fractional)
Th1 0.1248 0.4396 0.7775
Th2 0.1269 0.1269 0.3460
Th3 0.4396 0.1248 0.7775
Th4 0.5604 0.8752 0.2225
Th5 0.8731 0.8731 0.6540
Th6 0.8752 0.5604 0.2225
Sb1 0.1565 0.8435 0.0000
Sb2 0.2853 0.7147 0.5000
Sb3 0.4043 0.4043 0.1197
Sb4 0.5957 0.5957 0.8803
Sb5 0.7147 0.2853 0.5000
Sb6 0.8435 0.1565 0.0000
C1 0.1503 0.1503 0.6474
C2 0.8497 0.8497 0.3526